Diffraction record for Dy2B4O9. The X-ray diffraction stick pattern is computed, not measured: it uses a crystal structure in the Materials Project, relaxed with PBE and Cu Kα (weighted mean of Kα1 and Kα2).

Structural model:
Cell lengths 6.1991, 6.4665, 7.5069 Å; angles 102.29, 97.16, 102.37 degrees
Fractional positions:
Dy1 0.0495 0.0902 0.2866
Dy2 0.3856 0.6755 0.3582
Dy3 0.6144 0.3245 0.6418
Dy4 0.9505 0.9098 0.7134
B1 0.1267 0.3564 0.6512
B2 0.1614 0.6808 0.9255
B3 0.2305 0.3338 0.9816
B4 0.4945 0.1457 0.1901
B5 0.5055 0.8543 0.8099
B6 0.7695 0.6662 0.0184
B7 0.8386 0.3192 0.0745
B8 0.8733 0.6436 0.3488
O1 0.0048 0.7894 0.0184
O2 0.0398 0.5369 0.7472
O3 0.0785 0.8167 0.4449
O4 0.2628 0.2631 0.7897
O5 0.2734 0.5707 0.0409
O6 0.2811 0.4045 0.5229
O7 0.3119 0.8665 0.8774
O8 0.3604 0.2821 0.1435
O9 0.4298 0.0425 0.3238
O10 0.5702 0.9575 0.6762
O11 0.6396 0.7179 0.8565
O12 0.6881 0.1335 0.1226
O13 0.7189 0.5955 0.4771
O14 0.7266 0.4293 0.9591
O15 0.7372 0.7369 0.2103
O16 0.9215 0.1833 0.5551
O17 0.9602 0.4631 0.2528
O18 0.9952 0.2106 0.9816

Top 12 peaks for 2θ from 10° to 90°, in order of rising 2θ:
d [Å]  I (rel.)  hkl
7.217  43  0 0 1
5.059  44  1 0 -1
3.973  25  -1 1 1
3.822  45  1 1 0
3.364  38  1 0 -2
3.107  49  0 2 -1
3.067  29  1 1 -2
3.052  68  1 1 1
2.985  100  2 -1 0
2.819  35  0 1 2
2.684  26  0 2 -2
2.516  31  2 1 -1